For LiGa5Rh3, a cell relaxed with PBE gives the computed powder XRD pattern in this record (a wavelength of 1.5418 Å).

Crystal structure
a = 7.569 Å, b = 7.569 Å, c = 5.242 Å
α = 90.00°, β = 90.00°, γ = 120.00°
Fractional positions:
Li 0.000 0.000 0.000
Li 0.000 0.000 0.500
Ga 0.000 0.291 0.250
Ga 0.000 0.709 0.750
Ga 0.291 0.000 0.250
Ga 0.291 0.291 0.750
Ga 0.333 0.667 0.000
Ga 0.333 0.667 0.500
Ga 0.667 0.333 0.000
Ga 0.667 0.333 0.500
Ga 0.709 0.000 0.750
Ga 0.709 0.709 0.250
Rh 0.000 0.374 0.750
Rh 0.000 0.626 0.250
Rh 0.374 0.000 0.750
Rh 0.374 0.374 0.250
Rh 0.626 0.000 0.250
Rh 0.626 0.626 0.750

Largest 10 diffraction maxima, in order of falling intensity, 5 to 70 degrees two-theta:
(hkl)  d_spacing  intensity
3 0 0  2.185  100.0
1 1 2  2.155  90.8
2 1 1  2.240  46.1
1 0 0  6.555  25.9
0 0 2  2.621  24.5
2 2 2  1.534  22.7
3 0 2  1.678  20.0
3 1 1  1.718  19.6
1 1 0  3.785  13.0
2 1 3  1.428  10.6